The following is a theoretical powder diffractogram of U4Ge6Os7. It was derived from a DFT-relaxed cell (GGA-PBE, OQMD), using Cu Kα X-rays.

```
17
Lattice="-4.167 4.167 4.167 4.167 -4.167 4.167 4.167 4.167 -4.167" Properties=species:S:1:pos:R:3 pbc="T T T"
U 2.083 2.083 -2.083
U 2.083 -2.083 2.083
U -2.083 2.083 2.083
U 2.083 2.083 2.083
Ge 2.567 0.000 0.000
Ge 5.767 0.000 0.000
Ge 0.000 2.567 0.000
Ge 0.000 0.000 2.567
Ge 0.000 5.767 0.000
Ge 0.000 0.000 5.767
Os 0.000 0.000 0.000
Os 4.167 2.083 0.000
Os 4.167 0.000 2.083
Os 2.083 4.167 0.000
Os 2.083 0.000 4.167
Os 0.000 4.167 2.083
Os 0.000 2.083 4.167
```

Peak list (8 most intense, 10 to 80 degrees two-theta, low angle first)
26.19 deg, intensity 18; 30.34 deg, intensity 23; 37.38 deg, intensity 100; 40.50 deg, intensity 28; 43.43 deg, intensity 67; 51.43 deg, intensity 13; 63.11 deg, intensity 40; 75.70 deg, intensity 33